For GdCr3B4O12, the GGA+U geometry in the Materials Project gives the theoretical XRD peak list in this record (Cu Ka).
Intensities are scaled so that the largest is 100.

The 8 most intense peaks (10 to 90 degrees two-theta), by angle:
d (Å), I_rel, index
5.620, 36.6, 1 0 1
4.813, 28.0, 1 1 0
3.656, 78.4, 0 2 1
2.911, 29.8, 2 1 1
2.810, 100.0, 2 0 2
2.407, 24.5, 2 2 0
1.976, 21.0, 3 1 2
1.746, 28.4, 2 2 3

Crystal structure
```
data_GdCr3B4O12
_chemical_formula_sum 'Gd3 Cr9 B12 O36'
_space_group_name_H-M_alt 'R 3 2'
_space_group_IT_number 155
_space_group_name_Hall 'R 3 2"'
_cell_length_a 9.6266
_cell_length_b 9.6266
_cell_length_c 7.6088
_cell_angle_alpha 90.00
_cell_angle_beta 90.00
_cell_angle_gamma 120.00
loop_
_atom_site_label
_atom_site_type_symbol
_atom_site_fract_x
_atom_site_fract_y
_atom_site_fract_z
Gd1 Gd 0.0000 0.0000 0.0000
Cr1 Cr 0.0000 0.4478 0.0000
B1 B 0.0000 0.0000 0.5000
B2 B 0.0000 0.5531 0.5000
O1 O 0.0000 0.1440 0.5000
O2 O 0.0000 0.4085 0.5000
O3 O 0.0246 0.8131 0.1833
```

For LiMnSiO4, the GGA+U geometry in the Materials Project gives the theoretical XRD peak list in this record (Cu Ka).
Intensities are scaled so that the largest is 100.

The 8 most intense peaks (10 to 90 degrees two-theta), by angle:
d (Å), I_rel, index
5.023, 43.0, 0 2 0
4.349, 50.3, 1 1 0
3.524, 100.0, 1 1 1
3.009, 67.4, 0 0 2
2.502, 91.7, 1 3 1
2.474, 27.8, 1 1 -2
1.762, 33.8, 2 2 2
1.620, 22.7, 1 3 3

Crystal structure
```
data_LiMnSiO4
_chemical_formula_sum 'Li4 Mn4 Si4 O16'
_space_group_name_H-M_alt 'P 1 21 1'
_space_group_IT_number 4
_cell_length_a 4.824
_cell_length_b 10.046
_cell_length_c 6.016
_cell_angle_alpha 90.00
_cell_angle_beta 90.09
_cell_angle_gamma 90.00
loop_
_space_group_symop_operation_xyz
'x,y,z'
'-x,y+1/2,-z'
loop_
_atom_site_label
_atom_site_type_symbol
_atom_site_fract_x
_atom_site_fract_y
_atom_site_fract_z
Li1 Li 0.239 0.000 0.248
Li2 Li 0.251 0.017 0.743
Mn1 Mn 0.230 0.737 0.003
Mn2 Mn 0.268 0.285 0.497
Si1 Si 0.187 0.605 0.517
Si2 Si 0.317 0.417 0.017
O1 O 0.021 0.686 0.315
O2 O 0.021 0.906 0.992
O3 O 0.035 0.670 0.740
O4 O 0.066 0.451 0.505
O5 O 0.433 0.572 0.021
O6 O 0.469 0.347 0.236
O7 O 0.475 0.114 0.489
O8 O 0.482 0.342 0.809
```

For Ba2Fe2S2OF2, the GGA+U geometry in the Materials Project gives the theoretical XRD peak list in this record (Cu Ka).
Intensities are scaled so that the largest is 100.

The 8 most intense peaks (10 to 90 degrees two-theta), by angle:
d (Å), I_rel, index
3.518, 100.0, 1 0 3
3.238, 29.8, 0 0 6
2.849, 44.4, 1 0 5
2.834, 26.0, 1 1 2
2.529, 69.8, 1 1 4
2.095, 50.8, 2 0 0
1.878, 24.3, 1 1 8
1.800, 30.4, 2 1 3

Crystal structure
```
data_Ba2Fe2S2OF2
_chemical_formula_sum 'Ba4 Fe4 S4 O2 F4'
_space_group_name_H-M_alt 'I 4/m m m'
_space_group_IT_number 139
_space_group_name_Hall '-I 4 2'
_cell_length_a 4.190
_cell_length_b 4.190
_cell_length_c 19.427
_cell_angle_alpha 90.00
_cell_angle_beta 90.00
_cell_angle_gamma 90.00
loop_
_atom_site_label
_atom_site_type_symbol
_atom_site_fract_x
_atom_site_fract_y
_atom_site_fract_z
Ba1 Ba 0.000 0.000 0.167
Fe1 Fe 0.000 0.500 0.000
S1 S 0.000 0.000 0.413
O1 O 0.000 0.000 0.000
F1 F 0.000 0.500 0.250
```

For MgInFe2O4, the GGA+U geometry in the Materials Project gives the theoretical XRD peak list in this record (Cu Ka).
Intensities are scaled so that the largest is 100.

The 8 most intense peaks (10 to 90 degrees two-theta), by angle:
d (Å), I_rel, index
3.684, 41.6, 0 0 9
2.768, 43.0, 0 0 12
2.636, 100.0, 1 0 4
2.309, 74.1, 0 1 8
1.879, 27.5, 1 0 13
1.661, 18.0, 1 0 16
1.605, 37.8, 1 1 0
1.597, 20.1, 0 1 17

Crystal structure
```
data_MgInFe2O4
_chemical_formula_sum 'Mg3 In3 Fe6 O12'
_space_group_name_H-M_alt 'R -3 m'
_space_group_IT_number 166
_space_group_name_Hall '-R 3 2"'
_cell_length_a 3.2101
_cell_length_b 3.2101
_cell_length_c 33.1574
_cell_angle_alpha 90.00
_cell_angle_beta 90.00
_cell_angle_gamma 120.00
loop_
_atom_site_label
_atom_site_type_symbol
_atom_site_fract_x
_atom_site_fract_y
_atom_site_fract_z
Mg1 Mg 0.0000 0.0000 0.0000
In1 In 0.0000 0.0000 0.5000
Fe1 Fe 0.0000 0.0000 0.2625
O1 O 0.0000 0.0000 0.2019
O2 O 0.0000 0.0000 0.3682
```

For NaCoO2, the GGA+U geometry in the Materials Project gives the theoretical XRD peak list in this record (Cu Ka).
Intensities are scaled so that the largest is 100.

The 8 most intense peaks (10 to 90 degrees two-theta), by angle:
d (Å), I_rel, index
6.334, 86.5, 0 0 1
3.789, 44.5, 0 1 1
2.631, 53.4, 0 1 2
2.425, 35.1, 1 1 0
2.364, 79.9, 0 2 0
2.108, 100.0, 1 0 2
1.573, 69.6, 1 2 2
1.412, 20.3, 2 0 0

Crystal structure
```
data_NaCoO2
_chemical_formula_sum 'Na2 Co2 O4'
_space_group_name_H-M_alt 'P m m n'
_space_group_IT_number 59
_cell_length_a 2.825
_cell_length_b 4.728
_cell_length_c 6.334
_cell_angle_alpha 90.00
_cell_angle_beta 90.00
_cell_angle_gamma 90.00
loop_
_space_group_symop_operation_xyz
'x,y,z'
'-x,-y,-z'
'-x+1/2,-y+1/2,z'
'x+1/2,y+1/2,-z'
'x+1/2,-y,-z'
'-x+1/2,y,z'
'-x,y+1/2,-z'
'x,-y+1/2,z'
loop_
_atom_site_label
_atom_site_type_symbol
_atom_site_fract_x
_atom_site_fract_y
_atom_site_fract_z
Na1 Na 0.250 0.250 0.127
Co1 Co 0.250 0.250 0.622
O1 O 0.250 0.750 0.175
O2 O 0.250 0.750 0.580
```

For Na2MgCo2O4, the GGA+U geometry in the Materials Project gives the theoretical XRD peak list in this record (Cu Ka).
Intensities are scaled so that the largest is 100.

The 8 most intense peaks (10 to 90 degrees two-theta), by angle:
d (Å), I_rel, index
6.098, 44.6, 0 0 1
5.807, 69.4, 0 1 0
4.378, 100.0, 0 1 -1
2.704, 56.0, 0 2 -1
2.671, 70.5, -1 1 1
2.617, 53.8, 0 1 2
2.536, 43.8, 1 0 1
1.967, 41.2, 0 1 -3

Crystal structure
```
data_Na2MgCo2O4
_chemical_formula_sum 'Na2 Mg1 Co2 O4'
_space_group_name_H-M_alt 'P 1'
_space_group_IT_number 1
_cell_length_a 3.160
_cell_length_b 5.824
_cell_length_c 6.269
_cell_angle_alpha 94.26
_cell_angle_beta 102.65
_cell_angle_gamma 90.35
loop_
_space_group_symop_operation_xyz
'x,y,z'
loop_
_atom_site_label
_atom_site_type_symbol
_atom_site_fract_x
_atom_site_fract_y
_atom_site_fract_z
Na1 Na 0.000 0.000 0.000
Na2 Na 0.247 0.751 0.613
Mg1 Mg 0.618 0.628 0.187
Co1 Co 0.290 0.166 0.425
Co2 Co 0.907 0.362 0.760
O1 O 0.035 0.609 0.990
O2 O 0.393 0.146 0.764
O3 O 0.649 0.461 0.457
O4 O 0.732 0.964 0.315
```